(1)
For Rb6Fe3I14, DFT lattice parameters and positions (PBE) gives the theoretical powder diffraction line list in this record (a wavelength of 1.5418 Å).
Kinematic intensities with the Lorentz-polarization factor, no thermal factor.

Peak list (6 most intense, 10 to 80 degrees two-theta, sorted by position)
(3 -2 1), 3.711 Å, I = 100
(1 0 2), 3.451 Å, I = 63
(3 0 1), 3.372 Å, I = 96
(3 1 0), 3.172 Å, I = 49
(1 3 1), 2.905 Å, I = 57
(2 1 3), 2.107 Å, I = 37

Cell and atoms:
a = 13.2027 Å, b = 13.2027 Å, c = 7.2385 Å
α = 90.00°, β = 90.00°, γ = 120.00°
Space group P3 (No. 143)
Asymmetric unit:
1 Rb 0.0248 0.4619 0.0000 x3
2 Rb 0.3054 0.2050 0.4972 x3
3 Fe 0.0000 0.0000 0.0743 x1
4 Fe 0.3333 0.6667 0.5789 x1
5 Fe 0.6667 0.3333 0.7287 x1
6 I 0.0000 0.0000 0.7177 x1
7 I 0.0740 0.2106 0.1946 x3
8 I 0.1997 0.7438 0.6981 x3
9 I 0.3333 0.6667 0.2218 x1
10 I 0.4628 0.2607 0.9529 x3
11 I 0.5339 0.1289 0.5106 x3

=====

(2)
For RbFeI3, DFT lattice parameters and positions (PBE) gives the theoretical powder diffraction line list in this record (a wavelength of 1.5418 Å).
Kinematic intensities with the Lorentz-polarization factor, no thermal factor.

Peak list (6 most intense, 10 to 80 degrees two-theta, sorted by position)
(0 2 2), 3.692 Å, I = 100
(2 1 -1), 3.672 Å, I = 41
(2 0 0), 3.359 Å, I = 35
(2 2 -2), 3.224 Å, I = 39
(2 1 0), 3.181 Å, I = 32
(0 0 4), 2.712 Å, I = 33

Cell and atoms:
a = 8.3933 Å, b = 10.0790 Å, c = 13.5708 Å
α = 90.00°, β = 126.93°, γ = 90.00°
Space group P2_1/c (No. 14)
Asymmetric unit:
1 Rb 0.1712 0.0843 0.2439 x4
2 Fe 0.4731 0.1185 0.0098 x4
3 I 0.1377 0.1994 0.9649 x4
4 I 0.2981 0.6915 0.9728 x4
5 I 0.3326 0.0161 0.7847 x4